[1]
Theoretical powder XRD pattern of LiMg4PtAu2 for Cu Kα (weighted mean of Kα1 and Kα2), from the PBE geometry in Alexandria.

Peak list (10 most intense, 10° ≤ 2θ ≤ 80°, in order of rising 2θ)
2θ = 11.71°, intensity 14.0
2θ = 22.61°, intensity 17.6
2θ = 23.61°, intensity 19.5
2θ = 27.32°, intensity 63.1
2θ = 29.82°, intensity 13.1
2θ = 39.03°, intensity 100.0
2θ = 48.33°, intensity 13.9
2θ = 56.38°, intensity 16.7
2θ = 63.82°, intensity 12.4
2θ = 70.74°, intensity 26.0

Structural model:
```
LiMg4PtAu2
1.0
2.306 1.331 7.554
-2.306 1.331 7.554
0.000 -2.662 7.554
Li Mg Pt Au
1 4 1 2
direct
0.000 0.000 0.000 Li
0.131 0.131 0.131 Mg
0.379 0.379 0.379 Mg
0.621 0.621 0.621 Mg
0.869 0.869 0.869 Mg
0.500 0.500 0.500 Pt
0.256 0.256 0.256 Au
0.744 0.744 0.744 Au
```

[2]
Theoretical powder XRD pattern of Li2MgScAu2 for Cu Kα (weighted mean of Kα1 and Kα2), from the PBE geometry in Alexandria.

Peak list (10 most intense, 10° ≤ 2θ ≤ 80°, in order of rising 2θ)
2θ = 22.97°, intensity 11.4
2θ = 27.20°, intensity 100.0
2θ = 28.98°, intensity 13.4
2θ = 37.30°, intensity 31.2
2θ = 40.35°, intensity 36.7
2θ = 49.34°, intensity 20.3
2θ = 50.28°, intensity 18.8
2θ = 50.44°, intensity 18.4
2θ = 65.57°, intensity 17.5
2θ = 74.85°, intensity 9.8

Structural model:
```
Li2MgScAu2
1.0
4.471 0.000 0.000
-2.235 3.872 0.000
0.000 0.000 6.162
Li Mg Sc Au
2 1 1 2
direct
0.333 0.667 0.193 Li
0.667 0.333 0.807 Li
0.000 0.000 0.000 Mg
0.000 0.000 0.500 Sc
0.333 0.667 0.733 Au
0.667 0.333 0.267 Au
```